[1]
Theoretical X-ray powder pattern of Ba2Er2Zn8O13 for Cu Kα X-rays, from a structure optimized by DFT (PBE).

Principal peaks in the range 2θ = 15–90°, by intensity:
2theta	d [Å]	Rel. int.
32.7	2.735	100
33.4	2.683	69
27.8	3.212	45
32.5	2.756	44
30.1	2.965	39
30.0	2.981	36

Structure:
```
data_Ba2Er2Zn8O13
_space_group_name_H-M_alt 'P 1'
_space_group_IT_number 1
_space_group_name_Hall 'P 1'
_cell_length_a 6.424
_cell_length_b 6.424
_cell_length_c 10.570
_cell_angle_alpha 90.54
_cell_angle_beta 90.54
_cell_angle_gamma 59.70
loop_
_atom_site_label
_atom_site_type_symbol
_atom_site_fract_x
_atom_site_fract_y
_atom_site_fract_z
Ba1 Ba 0.000 0.000 0.000
Ba2 Ba 0.679 0.679 0.570
Er1 Er 0.000 0.000 0.651
Er2 Er 0.649 0.649 0.135
Zn1 Zn 0.163 0.163 0.342
Zn2 Zn 0.224 0.655 0.355
Zn3 Zn 0.324 0.324 0.592
Zn4 Zn 0.330 0.330 0.088
Zn5 Zn 0.501 0.501 0.835
Zn6 Zn 0.505 0.995 0.846
Zn7 Zn 0.655 0.224 0.355
Zn8 Zn 0.995 0.505 0.846
O1 O 0.139 0.663 0.526
O2 O 0.158 0.158 0.527
O3 O 0.328 0.836 0.264
O4 O 0.330 0.837 0.775
O5 O 0.331 0.331 0.779
O6 O 0.333 0.333 0.279
O7 O 0.496 0.496 0.022
O8 O 0.520 0.992 0.033
O9 O 0.663 0.139 0.526
O10 O 0.834 0.834 0.773
O11 O 0.836 0.328 0.264
O12 O 0.837 0.330 0.775
O13 O 0.992 0.520 0.033
```



[2]
Theoretical X-ray powder pattern of NaReO3 for Cu Kα X-rays, from a structure optimized by DFT (PBE).

Principal peaks in the range 2θ = 15–90°, by intensity:
2theta	d [Å]	Rel. int.
22.9	3.888	100
32.6	2.749	96
52.6	1.739	42
58.1	1.587	38
46.7	1.944	31
73.0	1.296	20

Structure:
```
data_NaReO3
_space_group_name_H-M_alt 'P 1'
_space_group_IT_number 1
_space_group_name_Hall 'P 1'
_cell_length_a 3.888
_cell_length_b 3.888
_cell_length_c 3.888
_cell_angle_alpha 90.00
_cell_angle_beta 90.00
_cell_angle_gamma 90.00
loop_
_atom_site_label
_atom_site_type_symbol
_atom_site_fract_x
_atom_site_fract_y
_atom_site_fract_z
Na1 Na 0.000 0.000 0.000
Re1 Re 0.500 0.500 0.500
O1 O 0.000 0.500 0.500
O2 O 0.500 0.000 0.500
O3 O 0.500 0.500 0.000
```



[3]
Theoretical X-ray powder pattern of GeO2 for Cu Kα X-rays, from a structure optimized by DFT (PBE).

Principal peaks in the range 2θ = 15–90°, by intensity:
2theta	d [Å]	Rel. int.
28.1	3.171	100
36.8	2.440	62
55.7	1.651	62
70.9	1.329	20
58.2	1.585	16
40.2	2.242	16

Structure:
```
data_GeO2
_space_group_name_H-M_alt 'P 1'
_space_group_IT_number 1
_space_group_name_Hall 'P 1'
_cell_length_a 4.484
_cell_length_b 4.484
_cell_length_c 2.908
_cell_angle_alpha 90.00
_cell_angle_beta 90.00
_cell_angle_gamma 90.00
loop_
_atom_site_label
_atom_site_type_symbol
_atom_site_fract_x
_atom_site_fract_y
_atom_site_fract_z
Ge1 Ge 0.000 0.000 0.000
Ge2 Ge 0.500 0.500 0.500
O1 O 0.193 0.193 0.500
O2 O 0.307 0.693 0.000
O3 O 0.693 0.307 0.000
O4 O 0.807 0.807 0.500
```



[4]
Theoretical X-ray powder pattern of As4PRh10 for Cu Kα X-rays, from a structure optimized by DFT (PBE).

Principal peaks in the range 2θ = 15–90°, by intensity:
2theta	d [Å]	Rel. int.
44.9	2.018	100
44.7	2.028	98
31.3	2.861	72
82.7	1.167	32
65.2	1.430	31
27.0	3.298	25

Structure:
```
data_As4PRh10
_space_group_name_H-M_alt 'P 1'
_space_group_IT_number 1
_space_group_name_Hall 'P 1'
_cell_length_a 16.756
_cell_length_b 16.756
_cell_length_c 16.756
_cell_angle_alpha 13.84
_cell_angle_beta 13.84
_cell_angle_gamma 13.84
loop_
_atom_site_label
_atom_site_type_symbol
_atom_site_fract_x
_atom_site_fract_y
_atom_site_fract_z
As1 As 0.101 0.101 0.101
As2 As 0.299 0.299 0.299
As3 As 0.701 0.701 0.701
As4 As 0.899 0.899 0.899
P1 P 0.500 0.500 0.500
Rh1 Rh 0.051 0.051 0.051
Rh2 Rh 0.152 0.152 0.152
Rh3 Rh 0.249 0.249 0.249
Rh4 Rh 0.350 0.350 0.350
Rh5 Rh 0.453 0.453 0.453
Rh6 Rh 0.547 0.547 0.547
Rh7 Rh 0.650 0.650 0.650
Rh8 Rh 0.751 0.751 0.751
Rh9 Rh 0.848 0.848 0.848
Rh10 Rh 0.949 0.949 0.949
```



[5]
Theoretical X-ray powder pattern of CaSiPt for Cu Kα X-rays, from a structure optimized by DFT (PBE).

Principal peaks in the range 2θ = 15–90°, by intensity:
2theta	d [Å]	Rel. int.
31.3	2.855	100
34.4	2.607	67
24.1	3.686	61
19.7	4.515	61
53.7	1.706	61
59.7	1.549	33

Structure:
```
data_CaSiPt
_space_group_name_H-M_alt 'P 1'
_space_group_IT_number 1
_space_group_name_Hall 'P 1'
_cell_length_a 6.385
_cell_length_b 6.385
_cell_length_c 6.385
_cell_angle_alpha 90.00
_cell_angle_beta 90.00
_cell_angle_gamma 90.00
loop_
_atom_site_label
_atom_site_type_symbol
_atom_site_fract_x
_atom_site_fract_y
_atom_site_fract_z
Ca1 Ca 0.125 0.125 0.125
Ca2 Ca 0.375 0.875 0.625
Ca3 Ca 0.625 0.375 0.875
Ca4 Ca 0.875 0.625 0.375
Si1 Si 0.169 0.331 0.669
Si2 Si 0.331 0.669 0.169
Si3 Si 0.669 0.169 0.331
Si4 Si 0.831 0.831 0.831
Pt1 Pt 0.079 0.579 0.921
Pt2 Pt 0.421 0.421 0.421
Pt3 Pt 0.579 0.921 0.079
Pt4 Pt 0.921 0.079 0.579
```